Structure and calculated PXRD pattern of HoMg2Rh (a PBE-relaxed structure; copper Kα).

Structure:
```
32
Lattice="15.105 0.000 0.000 0.000 8.420 0.000 0.000 0.000 5.376" Properties=species:S:1:pos:R:3 pbc="T T T"
Ho 1.589 2.105 1.328
Ho 2.063 6.315 0.207
Ho 5.490 2.105 2.895
Ho 5.963 6.315 4.016
Ho 9.141 2.105 1.360
Ho 9.615 6.315 2.480
Ho 13.042 2.105 5.168
Ho 13.516 6.315 4.048
Mg 0.613 0.460 3.971
Mg 0.613 3.750 3.971
Mg 3.208 4.682 2.851
Mg 3.208 7.948 2.851
Mg 4.344 0.472 0.164
Mg 4.344 3.738 0.164
Mg 6.939 4.670 1.283
Mg 6.939 7.960 1.283
Mg 8.165 0.460 4.093
Mg 8.165 3.750 4.093
Mg 10.761 4.682 5.212
Mg 10.761 7.948 5.212
Mg 11.897 0.472 2.524
Mg 11.897 3.738 2.524
Mg 14.492 4.670 1.405
Mg 14.492 7.960 1.405
Rh 1.012 6.315 2.904
Rh 2.851 2.105 3.918
Rh 4.702 6.315 1.230
Rh 6.540 2.105 0.216
Rh 8.564 6.315 5.160
Rh 10.403 2.105 4.145
Rh 12.254 6.315 1.458
Rh 14.093 2.105 2.472
```

Principal peaks in the range 2θ from 10° to 80°, by intensity:
| 2theta | d (Å) | intensity | (hkl) |
| --- | --- | --- | --- |
| 21.1 | 4.210 | 100.0 | 0 2 0 |
| 37.1 | 2.425 | 94.3 | 2 1 2 |
| 31.8 | 2.811 | 42.2 | 4 2 0 |
| 48.4 | 1.880 | 34.0 | 2 3 2 |
| 35.7 | 2.514 | 29.9 | 5 1 1 |
| 66.7 | 1.402 | 29.4 | 0 6 0 |
| 43.0 | 2.105 | 23.1 | 0 4 0 |
| 22.9 | 3.885 | 23.1 | 2 1 1 |
| 23.6 | 3.776 | 22.6 | 4 0 0 |
| 32.3 | 2.768 | 20.2 | 3 2 1 |
| 39.5 | 2.280 | 18.3 | 6 0 1 |
| 41.0 | 2.201 | 16.6 | 6 1 1 |